1.
Diffraction record for Sc6Ni7. The powder diffractogram is theoretical, not measured: it uses the PBE geometry in Alexandria and copper Kα.

Top 12 peaks for 2θ = 10–80°, most intense first:
2θ = 40.87°, d 2.208, I = 100; 2θ = 44.63°, d 2.031, I = 84; 2θ = 41.88°, d 2.157, I = 62; 2θ = 41.40°, d 2.181, I = 57; 2θ = 39.69°, d 2.271, I = 46; 2θ = 47.68°, d 1.907, I = 40; 2θ = 75.22°, d 1.263, I = 36; 2θ = 19.55°, d 4.542, I = 33; 2θ = 43.44°, d 2.083, I = 30; 2θ = 35.53°, d 2.527, I = 30; 2θ = 38.93°, d 2.313, I = 30; 2θ = 72.84°, d 1.299, I = 27

Crystal structure
abc: 5.0530 5.0530 27.2510
angles: 90.00 90.00 120.00
Space group R-3m (No. 166, hexagonal axes)
One atom of each set of equivalent atoms:
Sc  0.0000  0.0000  0.0552
Sc  0.0000  0.0000  0.1608
Sc  0.0000  0.0000  0.3317
Ni  0.0000  0.0000  0.5000
Ni  0.0064  0.5032  0.0912


2.
Diffraction record for ScNi. The powder diffractogram is theoretical, not measured: it uses the PBE geometry in Alexandria and copper Kα.

Top 12 peaks for 2θ = 10–80°, most intense first:
2θ = 40.21°, d 2.243, I = 100; 2θ = 39.95°, d 2.256, I = 79; 2θ = 44.03°, d 2.057, I = 62; 2θ = 37.22°, d 2.416, I = 44; 2θ = 43.75°, d 2.069, I = 36; 2θ = 44.16°, d 2.051, I = 31; 2θ = 35.73°, d 2.513, I = 28; 2θ = 43.20°, d 2.094, I = 28; 2θ = 19.88°, d 4.466, I = 28; 2θ = 48.74°, d 1.868, I = 26; 2θ = 39.02°, d 2.309, I = 18; 2θ = 36.10°, d 2.488, I = 17

Crystal structure
abc: 4.976 5.188 10.127
angles: 90.00 90.00 90.00
Space group P2_12_12_1 (No. 19)
One atom of each set of equivalent atoms:
Sc  0.153  0.075  0.023
Sc  0.157  0.643  0.808
Ni  0.144  0.856  0.276
Ni  0.169  0.585  0.072


3.
Diffraction record for Sc5Ni2. The powder diffractogram is theoretical, not measured: it uses the PBE geometry in Alexandria and copper Kα.

Top 12 peaks for 2θ = 10–80°, most intense first:
2θ = 38.88°, d 2.316, I = 100; 2θ = 40.59°, d 2.223, I = 72; 2θ = 38.50°, d 2.338, I = 71; 2θ = 32.66°, d 2.742, I = 42; 2θ = 23.79°, d 3.741, I = 39; 2θ = 35.37°, d 2.538, I = 39; 2θ = 47.26°, d 1.923, I = 38; 2θ = 37.31°, d 2.410, I = 21; 2θ = 44.22°, d 2.048, I = 19; 2θ = 72.96°, d 1.297, I = 18; 2θ = 59.30°, d 1.558, I = 18; 2θ = 64.29°, d 1.449, I = 14

Crystal structure
abc: 6.342 13.848 6.233
angles: 90.00 90.00 90.00
Space group Ibam (No. 72)
One atom of each set of equivalent atoms:
Sc  0.000  0.000  0.250
Sc  0.000  0.224  0.250
Sc  0.133  0.410  0.000
Ni  0.247  0.124  0.000


4.
Diffraction record for ScNi. The powder diffractogram is theoretical, not measured: it uses the PBE geometry in Alexandria and copper Kα.

Top 12 peaks for 2θ = 10–80°, most intense first:
2θ = 37.25°, d 2.414, I = 100; 2θ = 34.14°, d 2.627, I = 59; 2θ = 42.94°, d 2.106, I = 59; 2θ = 39.20°, d 2.298, I = 49; 2θ = 41.67°, d 2.167, I = 47; 2θ = 55.14°, d 1.666, I = 39; 2θ = 42.00°, d 2.151, I = 34; 2θ = 42.22°, d 2.141, I = 32; 2θ = 45.32°, d 2.001, I = 30; 2θ = 48.73°, d 1.869, I = 26; 2θ = 38.03°, d 2.366, I = 26; 2θ = 49.32°, d 1.848, I = 22

Crystal structure
abc: 9.520 3.331 7.025
angles: 90.00 115.92 90.00
Space group Cm (No. 8)
One atom of each set of equivalent atoms:
Sc  0.000  0.000  0.000
Sc  0.128  0.500  0.713
Sc  0.333  0.500  0.339
Ni  0.057  0.500  0.327
Ni  0.291  0.000  0.015
Ni  0.321  0.000  0.648


5.
Diffraction record for ScNi. The powder diffractogram is theoretical, not measured: it uses the PBE geometry in Alexandria and copper Kα.

Top 12 peaks for 2θ = 10–80°, most intense first:
2θ = 10.93°, d 8.095, I = 100; 2θ = 40.49°, d 2.228, I = 75; 2θ = 39.87°, d 2.261, I = 30; 2θ = 45.08°, d 2.011, I = 30; 2θ = 50.69°, d 1.801, I = 27; 2θ = 21.96°, d 4.048, I = 17; 2θ = 72.80°, d 1.299, I = 12; 2θ = 31.25°, d 2.862, I = 10; 2θ = 76.04°, d 1.252, I = 8; 2θ = 41.46°, d 2.178, I = 8; 2θ = 50.41°, d 1.810, I = 7; 2θ = 24.59°, d 3.620, I = 6

Crystal structure
abc: 8.095 8.095 4.523
angles: 90.00 90.00 90.00
Space group P4/mcc (No. 124)
One atom of each set of equivalent atoms:
Sc  0.122  0.326  0.000
Ni  0.283  0.417  0.500


6.
Diffraction record for Sc2Ni7. The powder diffractogram is theoretical, not measured: it uses the PBE geometry in Alexandria and copper Kα.

Top 12 peaks for 2θ = 10–80°, most intense first:
2θ = 44.15°, d 2.051, I = 100; 2θ = 48.35°, d 1.883, I = 38; 2θ = 21.53°, d 4.127, I = 36; 2θ = 45.88°, d 1.978, I = 31; 2θ = 43.64°, d 2.074, I = 24; 2θ = 79.98°, d 1.200, I = 21; 2θ = 72.27°, d 1.307, I = 20; 2θ = 50.88°, d 1.795, I = 20; 2θ = 37.49°, d 2.399, I = 18; 2θ = 48.69°, d 1.870, I = 13; 2θ = 47.26°, d 1.923, I = 11; 2θ = 35.14°, d 2.554, I = 10

Crystal structure
abc: 4.7982 4.7982 35.6052
angles: 90.00 90.00 120.00
Space group R-3m (No. 166, hexagonal axes)
One atom of each set of equivalent atoms:
Sc  0.0000  0.0000  0.0504
Sc  0.0000  0.0000  0.1475
Ni  0.0000  0.0000  0.2776
Ni  0.0000  0.0000  0.3892
Ni  0.0000  0.0000  0.5000
Ni  0.0000  0.5000  0.0000
Ni  0.0027  0.5013  0.8886